The following is a calculated powder XRD pattern of CePm4Sn4. It was derived from DFT lattice parameters and positions (GGA-PBE), using Cu Kα (weighted mean of Kα1 and Kα2).

Atomic structure:
Lattice parameters (Å, degrees): 8.500 8.500 8.820 90.00 90.00 90.00
Space group P4_2/nmc (No. 137, origin choice 2)
One atom of each set of equivalent atoms:
Ce (0.250, 0.750, 0.250) x2
Pm (0.013, 0.250, 0.113) x8
Sn (0.004, 0.250, 0.475) x8

Main lines, low angle first (5° ≤ 2θ ≤ 70°):
| h k l | d/Å | Rel. int. |
| --- | --- | --- |
| 2 1 1 | 3.491 | 1000 |
| 2 2 0 | 3.005 | 996 |
| 1 0 3 | 2.778 | 428 |
| 2 2 2 | 2.483 | 663 |
| 2 0 3 | 2.418 | 704 |
| 4 0 0 | 2.125 | 634 |

---

The following is a calculated powder XRD pattern of Sr5Sn5Hg2. It was derived from DFT lattice parameters and positions (GGA-PBE), using Cu Kα (weighted mean of Kα1 and Kα2).

Atomic structure:
Lattice parameters (Å, degrees): 17.441 5.058 10.680 90.00 125.61 90.00
Space group C2/m (No. 12)
One atom of each set of equivalent atoms:
Sr (0.000, 0.000, 0.000) x2
Sr (0.131, 0.000, 0.439) x4
Sr (0.158, 0.000, 0.841) x4
Sn (0.000, 0.500, 0.500) x2
Sn (0.022, 0.500, 0.815) x4
Sn (0.236, 0.500, 0.731) x4
Hg (0.155, 0.500, 0.203) x4

Main lines, low angle first (5° ≤ 2θ ≤ 70°):
| h k l | d/Å | Rel. int. |
| --- | --- | --- |
| 1 1 0 | 4.764 | 293 |
| 1 1 2 | 2.936 | 695 |
| 3 1 -3 | 2.910 | 490 |
| 5 1 -2 | 2.864 | 457 |
| 5 1 -1 | 2.780 | 1000 |
| 0 2 0 | 2.529 | 753 |

---

The following is a calculated powder XRD pattern of FeNiAu. It was derived from DFT lattice parameters and positions (GGA-PBE), using Cu Kα (weighted mean of Kα1 and Kα2).

Atomic structure:
Lattice parameters (Å, degrees): 2.758 3.542 8.444 90.00 90.00 90.00
Space group Imm2 (No. 44)
One atom of each set of equivalent atoms:
Fe (0.000, 0.000, 0.000) x2
Ni (0.000, 0.000, 0.363) x2
Au (0.000, 0.000, 0.682) x2

Main lines, low angle first (5° ≤ 2θ ≤ 70°):
| h k l | d/Å | Rel. int. |
| --- | --- | --- |
| 0 0 2 | 4.222 | 349 |
| 0 1 1 | 3.267 | 608 |
| 1 0 1 | 2.622 | 347 |
| 0 1 3 | 2.204 | 1000 |
| 1 1 0 | 2.176 | 992 |
| 1 0 3 | 1.970 | 710 |

---

The following is a calculated powder XRD pattern of Ac4TbSn4. It was derived from DFT lattice parameters and positions (GGA-PBE), using Cu Kα (weighted mean of Kα1 and Kα2).

Atomic structure:
Lattice parameters (Å, degrees): 9.878 9.878 6.871 90.00 90.00 90.00
Space group P4_2/n (No. 86, origin choice 2)
One atom of each set of equivalent atoms:
Ac (0.037, 0.675, 0.109) x8
Tb (0.250, 0.250, 0.250) x2
Sn (0.009, 0.643, 0.599) x8

Main lines, low angle first (5° ≤ 2θ ≤ 70°):
| h k l | d/Å | Rel. int. |
| --- | --- | --- |
| 2 1 1 | 3.716 | 304 |
| 1 0 2 | 3.245 | 451 |
| 1 3 0 | 3.123 | 1000 |
| 1 2 2 | 2.712 | 521 |
| 2 3 2 | 2.142 | 327 |
| 4 1 2 | 1.965 | 298 |

---

The following is a calculated powder XRD pattern of Ba4Rh5. It was derived from DFT lattice parameters and positions (GGA-PBE), using Cu Kα (weighted mean of Kα1 and Kα2).

Atomic structure:
Lattice parameters (Å, degrees): 10.187 10.187 4.829 90.00 90.00 90.00
Space group I4/mmm (No. 139)
One atom of each set of equivalent atoms:
Ba (0.000, 0.284, 0.000) x8
Rh (0.000, 0.000, 0.000) x2
Rh (0.128, 0.128, 0.500) x8

Main lines, low angle first (5° ≤ 2θ ≤ 70°):
| h k l | d/Å | Rel. int. |
| --- | --- | --- |
| 1 1 0 | 7.203 | 285 |
| 2 2 0 | 3.602 | 192 |
| 3 0 1 | 2.778 | 1000 |
| 0 0 2 | 2.414 | 264 |
| 3 3 0 | 2.401 | 201 |
| 4 1 1 | 2.199 | 383 |

---

The following is a calculated powder XRD pattern of Sr4ErSe5. It was derived from DFT lattice parameters and positions (GGA-PBE), using Cu Kα (weighted mean of Kα1 and Kα2).

Atomic structure:
Lattice parameters (Å, degrees): 9.724 9.724 6.157 90.00 90.00 90.00
Space group I4/m (No. 87)
One atom of each set of equivalent atoms:
Sr (0.096, 0.700, 0.000) x8
Er (0.000, 0.000, 0.500) x2
Se (0.000, 0.000, 0.000) x2
Se (0.095, 0.716, 0.500) x8

Main lines, low angle first (5° ≤ 2θ ≤ 70°):
| h k l | d/Å | Rel. int. |
| --- | --- | --- |
| 1 1 0 | 6.876 | 51 |
| 0 0 2 | 3.076 | 1000 |
| 3 1 2 | 2.175 | 745 |
| 2 4 2 | 1.776 | 264 |
| 0 0 4 | 1.538 | 121 |
| 3 1 4 | 1.376 | 328 |

---

The following is a calculated powder XRD pattern of Dy4HgSe3. It was derived from DFT lattice parameters and positions (GGA-PBE), using Cu Kα (weighted mean of Kα1 and Kα2).

Atomic structure:
Lattice parameters (Å, degrees): 8.481 11.744 4.035 90.00 90.00 90.00
Space group Cmmm (No. 65)
One atom of each set of equivalent atoms:
Dy (0.000, 0.249, 0.000) x4
Dy (0.246, 0.000, 0.500) x4
Hg (0.000, 0.500, 0.000) x2
Se (0.000, 0.000, 0.000) x2
Se (0.250, 0.250, 0.500) x4

Main lines, low angle first (5° ≤ 2θ ≤ 70°):
| h k l | d/Å | Rel. int. |
| --- | --- | --- |
| 0 4 0 | 2.936 | 506 |
| 2 0 1 | 2.923 | 1000 |
| 4 0 0 | 2.120 | 202 |
| 2 4 1 | 2.072 | 755 |
| 4 4 0 | 1.719 | 210 |
| 0 4 2 | 1.663 | 189 |

---

The following is a calculated powder XRD pattern of SmTmHg6. It was derived from DFT lattice parameters and positions (GGA-PBE), using Cu Kα (weighted mean of Kα1 and Kα2).

Atomic structure:
Lattice parameters (Å, degrees): 5.035 6.665 11.554 90.00 90.00 90.00
Space group Amm2 (No. 38)
One atom of each set of equivalent atoms:
Sm (0.000, 0.000, 0.000) x2
Tm (0.500, 0.000, 0.337) x2
Hg (0.000, 0.000, 0.502) x2
Hg (0.000, 0.245, 0.252) x4
Hg (0.500, 0.000, 0.830) x2
Hg (0.500, 0.247, 0.587) x4

Main lines, low angle first (5° ≤ 2θ ≤ 70°):
| h k l | d/Å | Rel. int. |
| --- | --- | --- |
| 0 0 4 | 2.887 | 244 |
| 2 0 0 | 2.518 | 226 |
| 1 2 2 | 2.505 | 1000 |
| 0 4 0 | 1.667 | 196 |
| 3 2 2 | 1.451 | 188 |
| 2 4 0 | 1.390 | 216 |

---

Which formula does entry 4 have?
Ac4TbSn4